# 1
For SnGeO3, a PBE-relaxed structure gives the computed X-ray powder pattern in this record (Cu Kα (λ = 1.5418 Å)).
Intensities are scaled so that the largest is 100.

Peak list (8 most intense, 10° ≤ 2θ ≤ 80°, by intensity)
(1 1 0), 2θ = 32.8°, d = 2.732 Å, intensity 100
(2 1 1), 2θ = 58.5°, d = 1.578 Å, intensity 40
(2 0 0), 2θ = 47.0°, d = 1.932 Å, intensity 33
(2 2 0), 2θ = 68.7°, d = 1.366 Å, intensity 20
(3 1 0), 2θ = 78.2°, d = 1.222 Å, intensity 18
(1 1 1), 2θ = 40.4°, d = 2.231 Å, intensity 10
(1 0 0), 2θ = 23.0°, d = 3.864 Å, intensity 3
(2 1 0), 2θ = 53.0°, d = 1.728 Å, intensity 2

```
data_SnGeO3
_cell_length_a 3.8642
_cell_length_b 3.8642
_cell_length_c 3.8642
_cell_angle_alpha 90.00
_cell_angle_beta 90.00
_cell_angle_gamma 90.00
_symmetry_space_group_name_H-M 'P m -3 m'
_symmetry_Int_Tables_number 221
_symmetry_space_group_name_Hall '-P 4 2 3'
loop_
_atom_site_label
_atom_site_type_symbol
_atom_site_fract_x
_atom_site_fract_y
_atom_site_fract_z
Sn1 Sn 0.0000 0.0000 0.0000
Ge1 Ge 0.5000 0.5000 0.5000
O1 O 0.0000 0.5000 0.5000
```

=====

# 2
For FePt, a PBE-relaxed structure gives the computed X-ray powder pattern in this record (Cu Kα (λ = 1.5418 Å)).
Intensities are scaled so that the largest is 100.

Peak list (8 most intense, 10° ≤ 2θ ≤ 80°, by intensity)
(1 0 1), 2θ = 40.8°, d = 2.212 Å, intensity 100
(1 1 0), 2θ = 47.1°, d = 1.929 Å, intensity 33
(0 0 1), 2θ = 23.5°, d = 3.779 Å, intensity 28
(1 0 0), 2θ = 32.8°, d = 2.728 Å, intensity 25
(1 1 2), 2θ = 69.7°, d = 1.350 Å, intensity 20
(0 0 2), 2θ = 48.2°, d = 1.889 Å, intensity 15
(1 1 1), 2θ = 53.3°, d = 1.718 Å, intensity 14
(2 0 0), 2θ = 68.8°, d = 1.364 Å, intensity 10

```
data_FePt
_cell_length_a 2.7281
_cell_length_b 2.7281
_cell_length_c 3.7790
_cell_angle_alpha 90.00
_cell_angle_beta 90.00
_cell_angle_gamma 90.00
_symmetry_space_group_name_H-M 'P 4/m m m'
_symmetry_Int_Tables_number 123
_symmetry_space_group_name_Hall '-P 4 2'
loop_
_atom_site_label
_atom_site_type_symbol
_atom_site_fract_x
_atom_site_fract_y
_atom_site_fract_z
Fe1 Fe 0.0000 0.0000 0.0000
Pt1 Pt 0.5000 0.5000 0.5000
```